1.
For PaPt3, the GGA-PBE geometry in the Materials Project gives the calculated powder diffraction line list in this record (Cu Kα).
Intensities are scaled so that the largest is 1000.

The 8 most intense peaks (10 to 90 degrees two-theta), most intense first:
2θ = 40.21°, 2.243 Å, intensity 1000, hkl 2 0 1
2θ = 35.29°, 2.543 Å, intensity 316, hkl 0 0 2
2θ = 66.67°, 1.403 Å, intensity 231, hkl 2 0 3
2θ = 35.94°, 2.498 Å, intensity 226, hkl 2 0 0
2θ = 75.82°, 1.255 Å, intensity 214, hkl 2 2 2
2θ = 64.61°, 1.443 Å, intensity 169, hkl 2 2 0
2θ = 51.26°, 1.782 Å, intensity 167, hkl 2 0 2
2θ = 78.91°, 1.213 Å, intensity 145, hkl 4 0 1

Atomic structure:
Cell: 5.7700 5.7700 5.0860 Å, 90.00 90.00 120.00°
Space group P6_3/mmc (No. 194)
Symmetry-distinct sites (fractional):
Pa 0.3333 0.6667 0.2500 x2
Pt 0.1653 0.3307 0.7500 x6

---

2.
For PaRe3, the GGA-PBE geometry in the Materials Project gives the calculated powder diffraction line list in this record (Cu Kα).
Intensities are scaled so that the largest is 1000.

The 8 most intense peaks (10 to 90 degrees two-theta), most intense first:
2θ = 38.01°, 2.367 Å, intensity 1000, hkl 1 1 2
2θ = 42.04°, 2.149 Å, intensity 379, hkl 2 0 0
2θ = 74.14°, 1.279 Å, intensity 292, hkl 3 1 2
2θ = 65.86°, 1.418 Å, intensity 205, hkl 2 0 4
2θ = 60.96°, 1.520 Å, intensity 129, hkl 2 2 0
2θ = 48.22°, 1.887 Å, intensity 128, hkl 0 0 4
2θ = 81.28°, 1.184 Å, intensity 116, hkl 2 2 4
2θ = 83.08°, 1.163 Å, intensity 110, hkl 1 1 6

Atomic structure:
Cell: 4.299 4.299 7.549 Å, 90.00 90.00 90.00°
Space group I4/mmm (No. 139)
Symmetry-distinct sites (fractional):
Pa 0.000 0.000 0.000 x2
Re 0.000 0.000 0.500 x2
Re 0.000 0.500 0.250 x4

---

3.
For PaZnRh2, the GGA-PBE geometry in the Materials Project gives the calculated powder diffraction line list in this record (Cu Kα).
Intensities are scaled so that the largest is 1000.

The 8 most intense peaks (10 to 90 degrees two-theta), most intense first:
2θ = 38.75°, 2.324 Å, intensity 1000, hkl 2 2 0
2θ = 70.15°, 1.342 Å, intensity 346, hkl 4 2 2
2θ = 23.44°, 3.795 Å, intensity 217, hkl 1 1 1
2θ = 55.96°, 1.643 Å, intensity 171, hkl 4 0 0
2θ = 45.79°, 1.982 Å, intensity 118, hkl 3 1 1
2θ = 83.14°, 1.162 Å, intensity 110, hkl 4 4 0
2θ = 61.50°, 1.508 Å, intensity 52, hkl 3 3 1
2θ = 87.88°, 1.111 Å, intensity 43, hkl 5 3 1

Atomic structure:
Cell: 6.573 6.573 6.573 Å, 90.00 90.00 90.00°
Space group Fm-3m (No. 225)
Symmetry-distinct sites (fractional):
Pa 0.000 0.000 0.000 x4
Zn 0.000 0.000 0.500 x4
Rh 0.250 0.250 0.250 x8

---

4.
For ScPaRu2, the GGA-PBE geometry in the Materials Project gives the calculated powder diffraction line list in this record (Cu Kα).
Intensities are scaled so that the largest is 1000.

The 8 most intense peaks (10 to 90 degrees two-theta), most intense first:
2θ = 38.09°, 2.363 Å, intensity 1000, hkl 2 2 0
2θ = 68.83°, 1.364 Å, intensity 348, hkl 4 2 2
2θ = 23.05°, 3.858 Å, intensity 336, hkl 1 1 1
2θ = 44.99°, 2.015 Å, intensity 187, hkl 3 1 1
2θ = 54.96°, 1.671 Å, intensity 172, hkl 4 0 0
2θ = 81.47°, 1.181 Å, intensity 109, hkl 4 4 0
2θ = 60.38°, 1.533 Å, intensity 82, hkl 3 3 1
2θ = 86.08°, 1.130 Å, intensity 66, hkl 5 3 1

Atomic structure:
Cell: 6.683 6.683 6.683 Å, 90.00 90.00 90.00°
Space group Fm-3m (No. 225)
Symmetry-distinct sites (fractional):
Sc 0.000 0.000 0.000 x4
Pa 0.000 0.000 0.500 x4
Ru 0.250 0.250 0.250 x8